For Ba3Cr2MoO9, a cell relaxed with PBE+U gives the simulated XRD peak list in this record (Cu Kα).
Peak positions follow from Bragg's law for the DFT cell and can differ from measured ones.

Crystal structure
```
30
Lattice="5.795 0.000 0.000 -2.898 5.019 0.000 0.000 0.000 14.276" Properties=species:S:1:pos:R:3 pbc="T T T"
Ba 0.000 0.000 3.569
Ba 0.000 0.000 10.707
Ba 0.000 3.346 1.466
Ba 0.000 3.346 5.672
Ba 2.898 1.673 8.603
Ba 2.898 1.673 12.810
Cr 0.000 3.346 9.397
Cr 0.000 3.346 12.016
Cr 2.898 1.673 2.259
Cr 2.898 1.673 4.879
Mo 0.000 0.000 0.000
Mo 0.000 0.000 7.138
O -1.307 2.591 10.707
O 0.000 1.608 8.253
O 0.000 1.608 13.160
O -1.505 4.215 8.253
O -1.505 4.215 13.160
O 1.393 0.804 1.115
O 1.393 0.804 6.022
O 1.307 2.591 10.707
O 0.000 4.855 10.707
O 2.898 0.164 3.569
O 1.591 2.428 3.569
O 1.505 4.215 8.253
O 1.505 4.215 13.160
O 4.402 0.804 1.115
O 4.402 0.804 6.022
O 2.898 3.410 1.115
O 2.898 3.410 6.022
O 4.205 2.428 3.569
```

Principal peaks in the range 2θ from 10° to 80°, sorted by position:
two_theta, I_rel, (hkl)
25.8, 33, 1 0 3
30.7, 82, 1 0 4
30.9, 100, 1 1 0
40.6, 24, 2 0 3
44.1, 46, 2 0 4
54.8, 52, 3 0 0
64.3, 19, 2 2 0
72.9, 14, 3 1 4